Pr2Te3: computed powder XRD pattern (λ = 1.5418 Å (Cu Kα)), based on the PBE geometry in OQMD.
No peak broadening, texture or thermal motion is included.

Principal peaks in the range 2θ = 10–80°, in order of falling intensity:
| d [Å] | 2θ (°) | Rel. int. |
| --- | --- | --- |
| 2.714 | 33.01 | 100 |
| 2.988 | 29.90 | 64 |
| 3.110 | 28.71 | 64 |
| 2.905 | 30.77 | 61 |
| 2.235 | 40.36 | 59 |
| 2.948 | 30.32 | 52 |
| 3.449 | 25.83 | 40 |
| 2.498 | 35.95 | 37 |
| 2.084 | 43.41 | 33 |
| 2.351 | 38.28 | 32 |
| 2.450 | 36.69 | 31 |
| 3.417 | 26.08 | 31 |

Cell and atoms:
a b c (Å): 12.445 4.469 12.054
angles (deg): 90.00 90.00 90.00
Sites, in units of the cell vectors:
Pr (0.016, 0.250, 0.187)
Pr (0.196, 0.250, 0.498)
Pr (0.304, 0.750, 0.998)
Pr (0.484, 0.750, 0.687)
Pr (0.516, 0.250, 0.313)
Pr (0.696, 0.250, 0.002)
Pr (0.804, 0.750, 0.502)
Pr (0.984, 0.750, 0.813)
Te (0.042, 0.750, 0.377)
Te (0.120, 0.250, 0.943)
Te (0.226, 0.750, 0.699)
Te (0.274, 0.250, 0.199)
Te (0.380, 0.750, 0.443)
Te (0.458, 0.250, 0.877)
Te (0.542, 0.750, 0.123)
Te (0.620, 0.250, 0.557)
Te (0.726, 0.750, 0.801)
Te (0.774, 0.250, 0.301)
Te (0.880, 0.750, 0.057)
Te (0.958, 0.250, 0.623)

Pr2Te5: computed powder XRD pattern (λ = 1.5418 Å (Cu Kα)), based on the PBE geometry in OQMD.
No peak broadening, texture or thermal motion is included.

Principal peaks in the range 2θ = 10–80°, in order of falling intensity:
| d [Å] | 2θ (°) | Rel. int. |
| --- | --- | --- |
| 2.973 | 30.05 | 100 |
| 2.225 | 40.55 | 57 |
| 2.671 | 33.56 | 56 |
| 3.248 | 27.46 | 38 |
| 2.504 | 35.86 | 36 |
| 1.835 | 49.67 | 29 |
| 1.573 | 58.68 | 22 |
| 1.391 | 67.34 | 19 |
| 3.139 | 28.44 | 18 |
| 2.623 | 34.18 | 17 |
| 1.355 | 69.33 | 13 |
| 1.416 | 65.98 | 12 |

Cell and atoms:
a b c (Å): 22.842 22.842 4.450
angles (deg): 90.00 90.00 168.82
Sites, in units of the cell vectors:
Pr (0.100, 0.900, 0.750)
Pr (0.306, 0.694, 0.750)
Pr (0.694, 0.306, 0.250)
Pr (0.900, 0.100, 0.250)
Te (0.044, 0.956, 0.250)
Te (0.174, 0.826, 0.750)
Te (0.250, 0.750, 0.250)
Te (0.379, 0.621, 0.750)
Te (0.456, 0.544, 0.250)
Te (0.544, 0.456, 0.750)
Te (0.621, 0.379, 0.250)
Te (0.750, 0.250, 0.750)
Te (0.826, 0.174, 0.250)
Te (0.956, 0.044, 0.750)

Pr3Tl5: computed powder XRD pattern (λ = 1.5418 Å (Cu Kα)), based on the PBE geometry in OQMD.
No peak broadening, texture or thermal motion is included.

Principal peaks in the range 2θ = 10–80°, in order of falling intensity:
| d [Å] | 2θ (°) | Rel. int. |
| --- | --- | --- |
| 2.774 | 32.27 | 100 |
| 2.667 | 33.61 | 32 |
| 2.686 | 33.36 | 26 |
| 2.586 | 34.69 | 25 |
| 2.736 | 32.73 | 22 |
| 2.373 | 37.91 | 21 |
| 2.398 | 37.51 | 18 |
| 1.446 | 64.43 | 17 |
| 1.660 | 55.34 | 14 |
| 1.857 | 49.07 | 13 |
| 1.409 | 66.32 | 12 |
| 1.893 | 48.08 | 11 |

Cell and atoms:
a b c (Å): 6.645 6.645 10.667
angles (deg): 90.00 90.00 77.78
Sites, in units of the cell vectors:
Pr (0.122, 0.878, 0.750)
Pr (0.296, 0.296, 0.000)
Pr (0.296, 0.296, 0.500)
Pr (0.704, 0.704, 0.000)
Pr (0.704, 0.704, 0.500)
Pr (0.878, 0.122, 0.250)
Tl (0.008, 0.427, 0.750)
Tl (0.194, 0.806, 0.043)
Tl (0.194, 0.806, 0.457)
Tl (0.427, 0.008, 0.250)
Tl (0.493, 0.507, 0.250)
Tl (0.507, 0.493, 0.750)
Tl (0.573, 0.992, 0.750)
Tl (0.806, 0.194, 0.543)
Tl (0.806, 0.194, 0.957)
Tl (0.992, 0.573, 0.250)

Pr5Tl3: computed powder XRD pattern (λ = 1.5418 Å (Cu Kα)), based on the PBE geometry in OQMD.
No peak broadening, texture or thermal motion is included.

Principal peaks in the range 2θ = 10–80°, in order of falling intensity:
| d [Å] | 2θ (°) | Rel. int. |
| --- | --- | --- |
| 2.757 | 32.48 | 100 |
| 2.831 | 31.60 | 72 |
| 2.805 | 31.90 | 61 |
| 3.062 | 29.16 | 47 |
| 2.565 | 34.99 | 30 |
| 2.201 | 41.01 | 29 |
| 1.726 | 53.07 | 25 |
| 1.531 | 60.46 | 25 |
| 2.225 | 40.54 | 22 |
| 3.129 | 28.53 | 19 |
| 1.554 | 59.48 | 19 |
| 1.792 | 50.96 | 19 |

Cell and atoms:
a b c (Å): 9.484 9.484 9.484
angles (deg): 96.25 96.25 141.47
Sites, in units of the cell vectors:
Pr (0.086, 0.780, 0.866)
Pr (0.220, 0.086, 0.306)
Pr (0.250, 0.750, 0.500)
Pr (0.280, 0.586, 0.866)
Pr (0.414, 0.280, 0.694)
Pr (0.586, 0.720, 0.306)
Pr (0.720, 0.414, 0.134)
Pr (0.750, 0.250, 0.500)
Pr (0.780, 0.914, 0.694)
Pr (0.914, 0.220, 0.134)
Tl (0.161, 0.339, 0.500)
Tl (0.250, 0.250, 0.000)
Tl (0.339, 0.839, 0.178)
Tl (0.661, 0.161, 0.822)
Tl (0.750, 0.750, 0.000)
Tl (0.839, 0.661, 0.500)